Li5Fe8B8O24: calculated powder X-ray diffraction pattern (Cu Ka), based on a cell relaxed with PBE+U.

Atomic structure:
```
data_Li5Fe8B8O24
_space_group_name_H-M_alt 'P 1'
_space_group_IT_number 1
_space_group_name_Hall 'P 1'
_cell_length_a 5.2547
_cell_length_b 9.1151
_cell_length_c 10.1329
_cell_angle_alpha 89.06
_cell_angle_beta 88.60
_cell_angle_gamma 89.45
loop_
_atom_site_label
_atom_site_type_symbol
_atom_site_fract_x
_atom_site_fract_y
_atom_site_fract_z
Li1 Li 0.0000 0.0000 0.0000
Li2 Li 0.0347 0.9883 0.4929
Li3 Li 0.1731 0.1558 0.7391
Li4 Li 0.5316 0.4881 0.4800
Li5 Li 0.6648 0.6593 0.7523
Fe1 Fe 0.0063 0.6606 0.9712
Fe2 Fe 0.0349 0.3203 0.4572
Fe3 Fe 0.1729 0.4899 0.7137
Fe4 Fe 0.1836 0.8190 0.2134
Fe5 Fe 0.5009 0.1743 0.9700
Fe6 Fe 0.5343 0.8230 0.4600
Fe7 Fe 0.6799 0.3250 0.2122
Fe8 Fe 0.6819 0.9879 0.7181
B1 B 0.0040 0.3226 0.9557
B2 B 0.0186 0.6561 0.4676
B3 B 0.1819 0.4922 0.2167
B4 B 0.1876 0.8204 0.7096
B5 B 0.5179 0.8327 0.9626
B6 B 0.5243 0.1551 0.4647
B7 B 0.6738 0.3272 0.7099
B8 B 0.6754 0.9915 0.2108
O1 O 0.0231 0.3779 0.2568
O2 O 0.0575 0.9524 0.7012
O3 O 0.0577 0.6915 0.7469
O4 O 0.0707 0.6240 0.1758
O5 O 0.1169 0.4512 0.9071
O6 O 0.1261 0.1884 0.9396
O7 O 0.1439 0.7830 0.4196
O8 O 0.1665 0.5351 0.5120
O9 O 0.2612 0.8384 0.0089
O10 O 0.2632 0.1494 0.4753
O11 O 0.4393 0.4781 0.2233
O12 O 0.4449 0.8135 0.6787
O13 O 0.5230 0.8770 0.2563
O14 O 0.5404 0.4587 0.6949
O15 O 0.5507 0.2007 0.7498
O16 O 0.5645 0.1265 0.1813
O17 O 0.6398 0.7015 0.9425
O18 O 0.6416 0.9647 0.9316
O19 O 0.6455 0.2859 0.4237
O20 O 0.6712 0.0324 0.4989
O21 O 0.7613 0.6489 0.4739
O22 O 0.7636 0.3308 0.0149
O23 O 0.9337 0.9706 0.1930
O24 O 0.9376 0.3248 0.6803
```

Principal peaks in the range 2θ = 5–70°, sorted by position:
2theta  Rel. int.  h k l
19.45  34  0 2 0
19.58  55  1 -1 0
21.55  100  0 2 -1
25.88  27  1 1 2
26.09  30  0 2 2
33.95  26  1 3 0
34.19  60  1 -3 0
35.45  87  0 0 4
40.21  21  2 2 1
40.44  23  0 4 1


Na2In2Mo5O16: calculated powder X-ray diffraction pattern (Cu Ka), based on a cell relaxed with PBE+U.

Atomic structure:
```
data_Na2In2Mo5O16
_space_group_name_H-M_alt 'P 3 m 1'
_space_group_IT_number 156
_space_group_name_Hall 'P 3 -2"'
_cell_length_a 6.1796
_cell_length_b 6.1796
_cell_length_c 10.8158
_cell_angle_alpha 90.00
_cell_angle_beta 90.00
_cell_angle_gamma 120.00
loop_
_atom_site_label
_atom_site_type_symbol
_atom_site_fract_x
_atom_site_fract_y
_atom_site_fract_z
Na1 Na 0.0000 0.0000 0.0000
Na2 Na 0.3333 0.6667 0.2332
In1 In 0.3333 0.6667 0.5217
In2 In 0.3333 0.6667 0.9297
Mo1 Mo 0.0000 0.0000 0.3673
Mo2 Mo 0.3340 0.1670 0.7259
Mo3 Mo 0.6667 0.3333 0.0988
O1 O 0.0000 0.0000 0.2050
O2 O 0.0000 0.0000 0.6217
O3 O 0.0016 0.5008 0.0586
O4 O 0.1545 0.3091 0.8328
O5 O 0.1671 0.3342 0.4022
O6 O 0.5050 0.0099 0.6319
O7 O 0.6667 0.3333 0.2585
O8 O 0.6667 0.3333 0.8305
```

Principal peaks in the range 2θ = 5–70°, sorted by position:
2theta  Rel. int.  h k l
8.17  87  0 0 1
23.39  100  0 1 2
28.90  39  1 1 0
29.88  64  1 0 3
33.44  43  2 0 0
34.53  53  2 0 1
47.82  39  2 0 4
51.83  29  2 1 3
54.55  28  0 2 5
59.87  31  2 2 0


Copy entry 2 word for word.
Na2In2Mo5O16: calculated powder X-ray diffraction pattern (Cu Ka), based on a cell relaxed with PBE+U.

Atomic structure:
```
data_Na2In2Mo5O16
_space_group_name_H-M_alt 'P 3 m 1'
_space_group_IT_number 156
_space_group_name_Hall 'P 3 -2"'
_cell_length_a 6.1796
_cell_length_b 6.1796
_cell_length_c 10.8158
_cell_angle_alpha 90.00
_cell_angle_beta 90.00
_cell_angle_gamma 120.00
loop_
_atom_site_label
_atom_site_type_symbol
_atom_site_fract_x
_atom_site_fract_y
_atom_site_fract_z
Na1 Na 0.0000 0.0000 0.0000
Na2 Na 0.3333 0.6667 0.2332
In1 In 0.3333 0.6667 0.5217
In2 In 0.3333 0.6667 0.9297
Mo1 Mo 0.0000 0.0000 0.3673
Mo2 Mo 0.3340 0.1670 0.7259
Mo3 Mo 0.6667 0.3333 0.0988
O1 O 0.0000 0.0000 0.2050
O2 O 0.0000 0.0000 0.6217
O3 O 0.0016 0.5008 0.0586
O4 O 0.1545 0.3091 0.8328
O5 O 0.1671 0.3342 0.4022
O6 O 0.5050 0.0099 0.6319
O7 O 0.6667 0.3333 0.2585
O8 O 0.6667 0.3333 0.8305
```

Principal peaks in the range 2θ = 5–70°, sorted by position:
2theta  Rel. int.  h k l
8.17  87  0 0 1
23.39  100  0 1 2
28.90  39  1 1 0
29.88  64  1 0 3
33.44  43  2 0 0
34.53  53  2 0 1
47.82  39  2 0 4
51.83  29  2 1 3
54.55  28  0 2 5
59.87  31  2 2 0